# Mg3Fe2O5
Calculated powder XRD pattern, λ = 1.5418 Å (Cu Kα). Input: a PBE+U-relaxed structure.
Peak positions follow from Bragg's law for the DFT cell and can differ from measured ones.

Largest 12 diffraction maxima, by angle, 2θ from 10° to 80°:
2θ/deg	Rel. int.
18.17	15
24.70	18
36.04	55
41.38	100
42.79	44
59.89	14
60.04	14
61.04	54
71.94	8
72.04	8
76.37	12
76.50	12

Atomic structure:
```
data_Mg3Fe2O5
_chemical_formula_sum 'Mg6 Fe4 O10'
_space_group_name_H-M_alt 'C 1 2/m 1'
_space_group_IT_number 12
_space_group_name_Hall '-C 2y'
_cell_length_a 9.7499
_cell_length_b 4.2270
_cell_length_c 6.8933
_cell_angle_alpha 90.00
_cell_angle_beta 134.91
_cell_angle_gamma 90.00
loop_
_atom_site_label
_atom_site_fract_x
_atom_site_fract_y
_atom_site_fract_z
_atom_site_occupancy
Mg1 0.0000 0.0000 0.0000 1
Mg2 0.2063 0.0000 0.8055 1
Fe1 0.0972 0.5000 0.4006 1
O1 0.0000 0.5000 0.0000 1
O2 0.0930 0.0000 0.3981 1
O3 0.2123 0.5000 0.8150 1
```